This entry pairs a crystal structure of LiCuPd2 with its theoretical X-ray powder pattern. Radiation: λ = 1.5418 Å (Cu Kα). Structure: a crystal structure in the Materials Project, relaxed with GGA-PBE.
Neutral-atom scattering factors, no anomalous dispersion.

Principal peaks in the range 2θ = 10–80°, by angle:
hkl  2theta  I/Imax
1 1 1  25.6  13
2 0 0  29.7  32
2 2 0  42.5  100
3 1 1  50.3  6
2 2 2  52.7  9
4 0 0  61.7  16
3 3 1  67.9  2
4 2 0  69.9  11
4 2 2  77.8  32

Structure:
```
data_LiCuPd2
_cell_length_a 6.017
_cell_length_b 6.017
_cell_length_c 6.017
_cell_angle_alpha 90.00
_cell_angle_beta 90.00
_cell_angle_gamma 90.00
_symmetry_space_group_name_H-M 'F m -3 m'
_symmetry_Int_Tables_number 225
_symmetry_space_group_name_Hall '-F 4 2 3'
loop_
_atom_site_label
_atom_site_fract_x
_atom_site_fract_y
_atom_site_fract_z
_atom_site_occupancy
Li1 0.000 0.000 0.000 1
Cu1 0.000 0.000 0.500 1
Pd1 0.250 0.250 0.250 1
```

***

This entry pairs a crystal structure of Li7Cu12S10 with its theoretical X-ray powder pattern. Radiation: λ = 1.5418 Å (Cu Kα). Structure: a crystal structure in the Materials Project, relaxed with GGA-PBE.
Neutral-atom scattering factors, no anomalous dispersion.

Principal peaks in the range 2θ = 10–80°, by angle:
hkl  2theta  I/Imax
2 0 0  11.8  59
2 0 1  13.4  100
0 0 3  17.2  36
4 0 -2  26.0  30
2 0 4  26.4  18
0 1 5  37.7  24
5 1 1  39.1  18
5 1 2  40.7  46
1 1 -6  42.8  29
0 2 0  48.5  50

Structure:
```
data_Li7Cu12S10
_cell_length_a 14.982
_cell_length_b 3.755
_cell_length_c 15.449
_cell_angle_alpha 90.00
_cell_angle_beta 92.46
_cell_angle_gamma 90.00
_symmetry_space_group_name_H-M 'P 1 2/m 1'
_symmetry_Int_Tables_number 10
_symmetry_space_group_name_Hall '-P 2y'
loop_
_atom_site_label
_atom_site_fract_x
_atom_site_fract_y
_atom_site_fract_z
_atom_site_occupancy
Li1 0.000 0.000 0.000 1
Li2 0.103 0.500 0.696 1
Li3 0.185 0.500 0.897 1
Li4 0.225 0.000 0.401 1
Li5 0.298 0.000 0.615 1
Li6 0.300 0.500 0.079 1
Li7 0.376 0.500 0.295 1
Li8 0.500 0.000 0.000 1
Cu1 0.010 0.000 0.419 1
Cu2 0.015 0.500 0.144 1
Cu3 0.051 0.000 0.262 1
Cu4 0.102 0.500 0.501 1
Cu5 0.158 0.000 0.130 1
Cu6 0.186 0.500 0.247 1
Cu7 0.304 0.000 0.809 1
Cu8 0.387 0.500 0.905 1
Cu9 0.413 0.500 0.730 1
Cu10 0.416 0.000 0.446 1
Cu11 0.448 0.500 0.565 1
Cu12 0.495 0.000 0.195 1
S1 0.069 0.000 0.832 1
S2 0.081 0.500 0.353 1
S3 0.128 0.500 0.049 1
S4 0.139 0.000 0.573 1
S5 0.264 0.500 0.733 1
S6 0.273 0.000 0.236 1
S7 0.318 0.000 0.957 1
S8 0.330 0.500 0.466 1
S9 0.464 0.500 0.123 1
S10 0.479 0.000 0.656 1
```

***

This entry pairs a crystal structure of Li3CuS2 with its theoretical X-ray powder pattern. Radiation: λ = 1.5418 Å (Cu Kα). Structure: a crystal structure in the Materials Project, relaxed with GGA-PBE.
Neutral-atom scattering factors, no anomalous dispersion.

Principal peaks in the range 2θ = 10–80°, by angle:
hkl  2theta  I/Imax
0 2 0  14.7  100
1 1 1  24.8  96
1 2 1  28.0  62
1 3 1  32.6  47
0 2 2  36.8  25
2 2 0  37.1  25
1 5 1  44.6  19
0 4 2  45.4  43
2 4 0  45.6  43
2 0 2  48.4  40

Structure:
```
data_Li3CuS2
_cell_length_a 5.293
_cell_length_b 12.077
_cell_length_c 5.338
_cell_angle_alpha 90.00
_cell_angle_beta 90.00
_cell_angle_gamma 90.00
_symmetry_space_group_name_H-M 'P b c n'
_symmetry_Int_Tables_number 60
_symmetry_space_group_name_Hall '-P 2n 2ab'
loop_
_atom_site_label
_atom_site_fract_x
_atom_site_fract_y
_atom_site_fract_z
_atom_site_occupancy
Li1 0.000 0.249 0.250 1
Li2 0.241 0.072 0.516 1
Cu1 0.000 0.255 0.750 1
S1 0.248 0.128 0.996 1
```

***

This entry pairs a crystal structure of Li3CuS2 with its theoretical X-ray powder pattern. Radiation: λ = 1.5418 Å (Cu Kα). Structure: a crystal structure in the Materials Project, relaxed with GGA-PBE.
Neutral-atom scattering factors, no anomalous dispersion.

Principal peaks in the range 2θ = 10–80°, by angle:
hkl  2theta  I/Imax
2 1 1  19.3  94
2 2 2  27.4  59
3 1 2  29.7  61
3 3 2  37.5  17
5 2 1  44.1  21
4 4 0  45.6  100
5 2 3  49.9  21
6 2 2  54.0  21
7 1 2  60.4  15
8 0 0  66.4  15

Structure:
```
data_Li3CuS2
_cell_length_a 11.258
_cell_length_b 11.258
_cell_length_c 11.258
_cell_angle_alpha 90.00
_cell_angle_beta 90.00
_cell_angle_gamma 90.00
_symmetry_space_group_name_H-M 'I a -3'
_symmetry_Int_Tables_number 206
_symmetry_space_group_name_Hall '-I 2b 2c 3'
loop_
_atom_site_label
_atom_site_fract_x
_atom_site_fract_y
_atom_site_fract_z
_atom_site_occupancy
Li1 0.123 0.127 0.624 1
Cu1 0.127 0.127 0.127 1
S1 0.000 0.000 0.000 1
S2 0.000 0.250 0.247 1
```